Structure and theoretical X-ray powder pattern of KV2P2H4O13 (a crystal structure in the Materials Project, relaxed with PBE+U; Cu Kα, 1.54184 Å).

Atomic structure:
a = 6.2567 Å, b = 6.2972 Å, c = 6.9168 Å
α = 89.93°, β = 74.07°, γ = 88.93°
Sites, in units of the cell vectors:
K 0.0000 0.0000 0.0000
V 0.2862 0.2450 0.4019
V 0.7138 0.7550 0.5981
P 0.2497 0.7499 0.4987
P 0.7503 0.2501 0.5013
H 0.2535 0.3638 0.0168
H 0.4933 0.7245 0.0359
H 0.5067 0.2755 0.9641
H 0.7465 0.6362 0.9832
O 0.0000 0.5000 0.0000
O 0.0089 0.7471 0.6361
O 0.2160 0.2400 0.6439
O 0.2878 0.9393 0.3508
O 0.3069 0.5503 0.3642
O 0.3592 0.2600 0.0569
O 0.3953 0.7690 0.6471
O 0.6047 0.2310 0.3529
O 0.6408 0.7400 0.9431
O 0.6931 0.4497 0.6358
O 0.7122 0.0607 0.6492
O 0.7840 0.7600 0.3561
O 0.9911 0.2529 0.3639

Top 12 peaks for 2θ = 15–90°, sorted by position:
| 2θ/deg | I_rel |
| --- | --- |
| 19.4 | 48.7 |
| 20.6 | 20.1 |
| 22.5 | 44.6 |
| 26.8 | 68.7 |
| 28.4 | 54.2 |
| 29.0 | 100.0 |
| 29.7 | 27.6 |
| 31.4 | 43.3 |
| 31.5 | 42.6 |
| 40.7 | 19.7 |
| 45.2 | 21.0 |
| 45.4 | 19.8 |